(1)
Theoretical powder diffraction line list
Compound: Li6Fe5NiO12
Radiation: Cu Kα (λ = 1.5418 Å)
Structure: DFT lattice parameters and positions (GGA+U)
Peak positions follow from Bragg's law for the DFT cell and can differ from measured ones.

Structure:
```
Li6Fe5NiO12
1.0
2.512 -4.365 0.000
2.512 4.365 0.000
-1.484 0.000 9.891
Li Fe Ni O
6 5 1 12
Direct
0.103 0.103 0.258
0.222 0.561 0.739
0.439 0.778 0.261
0.553 0.221 0.746
0.779 0.447 0.254
0.897 0.897 0.742
0.166 0.834 0.500
0.333 0.667 0.000
0.499 0.501 0.500
0.831 0.169 0.500
0.998 0.002 0.000
0.666 0.334 0.000
0.028 0.717 0.109
0.134 0.487 0.383
0.198 0.184 0.616
0.283 0.972 0.891
0.354 0.351 0.109
0.449 0.118 0.384
0.513 0.866 0.617
0.649 0.646 0.891
0.721 0.044 0.112
0.816 0.802 0.384
0.882 0.551 0.616
0.956 0.279 0.888
```

The 10 most intense peaks (2θ = 10–90°), sorted by position:
17.94°, I 100
36.22°, I 31
37.62°, I 18
38.05°, I 10
43.11°, I 11
43.64°, I 21
47.11°, I 22
47.90°, I 10
57.07°, I 14
64.18°, I 12

=====

(2)
Theoretical powder diffraction line list
Compound: NaGdMn4O12
Radiation: Cu Kα (λ = 1.5418 Å)
Structure: DFT lattice parameters and positions (GGA+U)
Peak positions follow from Bragg's law for the DFT cell and can differ from measured ones.

Structure:
```
NaGdMn4O12
1.0
7.562 0.000 0.000
0.000 3.626 3.807
0.000 -3.626 3.807
Na Gd Mn O
1 1 4 12
Direct
0.000 0.000 0.000
0.500 0.526 0.526
0.239 0.028 0.519
0.239 0.519 0.028
0.761 0.028 0.519
0.761 0.519 0.028
0.000 0.586 0.959
0.000 0.959 0.586
0.192 0.215 0.215
0.259 0.340 0.699
0.259 0.699 0.340
0.319 0.811 0.811
0.500 0.080 0.447
0.500 0.447 0.080
0.681 0.811 0.811
0.741 0.340 0.699
0.741 0.699 0.340
0.808 0.215 0.215
```

The 10 most intense peaks (2θ = 10–90°), sorted by position:
11.70°, I 38
16.88°, I 46
20.59°, I 100
33.40°, I 42
34.15°, I 53
34.26°, I 52
47.78°, I 23
60.11°, I 22
60.33°, I 24
61.76°, I 28

=====

(3)
Theoretical powder diffraction line list
Compound: MgMn2O4
Radiation: Cu Kα (λ = 1.5418 Å)
Structure: DFT lattice parameters and positions (GGA+U)
Peak positions follow from Bragg's law for the DFT cell and can differ from measured ones.

Structure:
```
MgMn2O4
1.0
-3.013 3.013 4.316
3.013 -3.013 4.316
3.013 3.013 -4.316
Mg Mn O
2 4 8
Direct
0.500 0.000 0.000
0.500 0.500 0.500
0.000 0.000 0.000
0.113 0.363 0.750
0.500 0.000 0.500
0.887 0.637 0.250
0.245 0.225 0.020
0.253 0.222 0.469
0.253 0.783 0.031
0.295 0.775 0.520
0.705 0.225 0.480
0.747 0.217 0.969
0.747 0.778 0.531
0.755 0.775 0.980
```

The 10 most intense peaks (2θ = 10–90°), sorted by position:
17.95°, I 26
29.46°, I 41
29.65°, I 27
34.55°, I 51
34.88°, I 100
42.43°, I 17
55.36°, I 17
56.05°, I 35
61.13°, I 46
61.57°, I 24

=====

(4)
Theoretical powder diffraction line list
Compound: CrO2
Radiation: Cu Kα (λ = 1.5418 Å)
Structure: DFT lattice parameters and positions (GGA+U)
Peak positions follow from Bragg's law for the DFT cell and can differ from measured ones.

Structure:
```
CrO2
1.0
0.000 4.187 4.187
4.187 0.000 4.187
4.187 4.187 0.000
Cr O
4 8
Direct
0.000 0.000 0.000
0.000 0.000 0.500
0.000 0.500 0.000
0.500 0.000 0.000
0.195 0.768 0.768
0.232 0.232 0.232
0.232 0.232 0.805
0.232 0.805 0.232
0.768 0.195 0.768
0.768 0.768 0.195
0.768 0.768 0.768
0.805 0.232 0.232
```

The 10 most intense peaks (2θ = 10–90°), sorted by position:
18.35°, I 100
35.56°, I 30
37.20°, I 8
43.22°, I 45
47.32°, I 7
57.16°, I 16
62.78°, I 23
66.01°, I 13
79.27°, I 6
82.22°, I 7

=====

(5)
Theoretical powder diffraction line list
Compound: Li6VFe5O12
Radiation: Cu Kα (λ = 1.5418 Å)
Structure: DFT lattice parameters and positions (GGA+U)
Peak positions follow from Bragg's law for the DFT cell and can differ from measured ones.

Structure:
```
Li6VFe5O12
1.0
2.541 -4.403 0.000
2.541 4.403 0.000
-1.407 0.000 9.999
Li V Fe O
6 1 5 12
Direct
0.108 0.108 0.250
0.210 0.544 0.742
0.456 0.790 0.258
0.552 0.216 0.748
0.784 0.448 0.252
0.892 0.892 0.750
0.500 0.500 0.500
0.001 0.999 0.000
0.165 0.835 0.500
0.331 0.669 0.000
0.668 0.332 0.000
0.836 0.164 0.500
0.030 0.702 0.111
0.141 0.472 0.386
0.193 0.193 0.616
0.298 0.970 0.889
0.365 0.354 0.107
0.473 0.140 0.387
0.528 0.859 0.614
0.646 0.635 0.893
0.710 0.042 0.110
0.807 0.807 0.384
0.860 0.527 0.613
0.958 0.290 0.890
```

The 10 most intense peaks (2θ = 10–90°), sorted by position:
17.74°, I 100
35.68°, I 9
35.93°, I 24
37.19°, I 17
37.72°, I 10
42.41°, I 11
43.29°, I 20
46.50°, I 22
56.58°, I 14
63.42°, I 13

=====

(6)
Theoretical powder diffraction line list
Compound: Li4VCr3O8
Radiation: Cu Kα (λ = 1.5418 Å)
Structure: DFT lattice parameters and positions (GGA+U)
Peak positions follow from Bragg's law for the DFT cell and can differ from measured ones.

Structure:
```
Li4VCr3O8
1.0
5.177 -2.965 0.000
5.177 2.965 0.000
-1.727 0.000 4.848
Li V Cr O
4 1 3 8
Direct
0.000 0.500 0.000
0.248 0.248 0.493
0.500 0.000 0.000
0.752 0.752 0.507
0.500 0.500 0.000
0.000 0.000 0.000
0.251 0.749 0.500
0.749 0.251 0.500
0.112 0.112 0.742
0.135 0.638 0.756
0.362 0.865 0.244
0.385 0.385 0.261
0.615 0.615 0.739
0.638 0.135 0.756
0.865 0.362 0.244
0.888 0.888 0.258
```

The 10 most intense peaks (2θ = 10–90°), sorted by position:
18.19°, I 100
35.46°, I 40
37.07°, I 11
42.88°, I 28
43.07°, I 55
56.85°, I 9
62.24°, I 15
62.56°, I 15
65.84°, I 9
78.96°, I 10